This entry pairs a crystal structure of MgAl3Ir2 with its theoretical X-ray diffraction stick pattern. Radiation: λ = 1.5418 Å (Cu Kα). Structure: the GGA-PBE geometry in Alexandria.

Largest 6 diffraction maxima, by angle, 2θ from 10° to 90°:
2theta	Rel. int.
19.8	100
21.0	89
29.0	40
37.6	40
38.3	40
43.4	87

Cell and atoms:
a b c (Å): 6.162 6.162 5.663
angles (deg): 90.00 90.00 86.69
Fractional coordinates of all 12 atoms:
1 Mg 0.027 0.973 0.750
2 Mg 0.973 0.027 0.250
3 Al 0.013 0.518 0.250
4 Al 0.482 0.987 0.250
5 Al 0.491 0.509 0.750
6 Al 0.509 0.491 0.250
7 Al 0.518 0.013 0.750
8 Al 0.987 0.482 0.750
9 Ir 0.266 0.266 0.000
10 Ir 0.266 0.266 0.500
11 Ir 0.734 0.734 0.000
12 Ir 0.734 0.734 0.500

This entry pairs a crystal structure of Mg2Al3Ir with its theoretical X-ray diffraction stick pattern. Radiation: λ = 1.5418 Å (Cu Kα). Structure: the GGA-PBE geometry in Alexandria.

Largest 6 diffraction maxima, by angle, 2θ from 10° to 90°:
2theta	Rel. int.
20.6	100
24.0	53
33.8	41
40.3	48
40.4	24
41.9	24

Cell and atoms:
a b c (Å): 8.926 5.298 5.172
angles (deg): 90.00 123.73 90.00
Fractional coordinates of all 12 atoms:
1 Mg 0.129 0.000 0.370
2 Mg 0.371 0.500 0.630
3 Mg 0.629 0.500 0.370
4 Mg 0.871 0.000 0.630
5 Al 0.000 0.500 0.500
6 Al 0.250 0.250 0.000
7 Al 0.250 0.750 0.000
8 Al 0.500 0.000 0.500
9 Al 0.750 0.250 0.000
10 Al 0.750 0.750 0.000
11 Ir 0.000 0.500 0.000
12 Ir 0.500 0.000 0.000

This entry pairs a crystal structure of Mn2Al4Ir with its theoretical X-ray diffraction stick pattern. Radiation: λ = 1.5418 Å (Cu Kα). Structure: the GGA-PBE geometry in Alexandria.

Largest 6 diffraction maxima, by angle, 2θ from 10° to 90°:
2theta	Rel. int.
14.6	42
23.5	37
40.7	100
40.9	47
41.0	50
46.2	35

Cell and atoms:
a b c (Å): 5.350 6.185 7.077
angles (deg): 114.76 101.26 102.66
Fractional coordinates of all 14 atoms:
1 Mn 0.000 0.000 0.000
2 Mn 0.153 0.127 0.415
3 Mn 0.443 0.437 0.264
4 Mn 0.642 0.125 0.407
5 Al 0.206 0.720 0.125
6 Al 0.245 0.297 0.839
7 Al 0.358 0.863 0.557
8 Al 0.486 0.003 0.987
9 Al 0.574 0.545 0.681
10 Al 0.724 0.728 0.140
11 Al 0.859 0.866 0.569
12 Al 0.940 0.395 0.276
13 Ir 0.089 0.588 0.695
14 Ir 0.744 0.294 0.864